Starting from a DFT-relaxed cell (PBE, Alexandria), the powder X-ray diffraction pattern of Tm2AgS4 was simulated for CuKα.
Intensities are scaled so that the largest is 100.

Top 10 peaks for 5 to 70 degrees two-theta, sorted by position:
2θ 13.81, 6.412 Å, I 24.4; 2θ 22.65, 3.926 Å, I 16.4; 2θ 26.62, 3.348 Å, I 100.0; 2θ 27.83, 3.206 Å, I 19.8; 2θ 32.24, 2.776 Å, I 32.0; 2θ 42.29, 2.137 Å, I 42.7; 2θ 46.25, 1.963 Å, I 60.7; 2θ 54.16, 1.694 Å, I 14.0; 2θ 54.84, 1.674 Å, I 11.1; 2θ 64.45, 1.446 Å, I 23.3

Cell and atoms:
```
Tm2AgS4
1.0
-3.928 3.928 5.547
3.928 -3.928 5.547
3.928 3.928 -5.547
Tm Ag S
4 2 8
Direct
0.000 0.000 0.000 Tm
0.000 0.000 0.500 Tm
0.000 0.500 0.000 Tm
0.500 0.000 0.500 Tm
0.375 0.625 0.750 Ag
0.625 0.375 0.250 Ag
0.228 0.243 0.985 S
0.242 0.757 0.485 S
0.243 0.228 0.485 S
0.243 0.758 0.015 S
0.757 0.242 0.985 S
0.757 0.772 0.515 S
0.758 0.243 0.515 S
0.772 0.757 0.015 S
```

Starting from a DFT-relaxed cell (PBE, Alexandria), the powder X-ray diffraction pattern of AcTb6PmDy2 was simulated for CuKα.
Intensities are scaled so that the largest is 100.

Top 10 peaks for 5 to 70 degrees two-theta, sorted by position:
2θ 27.94, 3.193 Å, I 38.5; 2θ 28.12, 3.174 Å, I 21.5; 2θ 30.32, 2.948 Å, I 100.0; 2θ 30.52, 2.929 Å, I 62.7; 2θ 30.73, 2.909 Å, I 40.7; 2θ 31.23, 2.864 Å, I 34.0; 2θ 31.88, 2.807 Å, I 23.8; 2θ 33.74, 2.657 Å, I 47.7; 2θ 34.68, 2.587 Å, I 13.7; 2θ 36.77, 2.444 Å, I 13.8

Cell and atoms:
```
AcTb6PmDy2
1.0
4.622 -7.666 0.000
4.622 7.666 0.000
-0.916 0.000 9.573
Ac Tb Pm Dy
2 12 2 4
Direct
0.030 0.970 0.750 Ac
0.970 0.030 0.250 Ac
0.019 0.558 0.680 Tb
0.125 0.749 0.057 Tb
0.251 0.875 0.443 Tb
0.290 0.509 0.883 Tb
0.442 0.981 0.820 Tb
0.491 0.710 0.617 Tb
0.509 0.290 0.383 Tb
0.558 0.019 0.180 Tb
0.710 0.491 0.117 Tb
0.749 0.125 0.557 Tb
0.875 0.251 0.943 Tb
0.981 0.442 0.320 Tb
0.410 0.590 0.250 Pm
0.590 0.410 0.750 Pm
0.199 0.312 0.548 Dy
0.312 0.199 0.048 Dy
0.688 0.801 0.952 Dy
0.801 0.688 0.452 Dy
```

Starting from a DFT-relaxed cell (PBE, Alexandria), the powder X-ray diffraction pattern of Pm3Ho2ErBi6 was simulated for CuKα.
Intensities are scaled so that the largest is 100.

Top 10 peaks for 5 to 70 degrees two-theta, sorted by position:
2θ 12.01, 7.367 Å, I 0.6; 2θ 24.13, 3.688 Å, I 3.5; 2θ 27.93, 3.194 Å, I 100.0; 2θ 39.91, 2.259 Å, I 78.2; 2θ 47.18, 1.926 Å, I 2.0; 2θ 49.40, 1.845 Å, I 21.4; 2θ 49.49, 1.842 Å, I 6.9; 2θ 57.72, 1.597 Å, I 13.4; 2θ 63.45, 1.466 Å, I 0.7; 2θ 65.32, 1.429 Å, I 37.2

Cell and atoms:
```
Pm3Ho2ErBi6
1.0
9.840 -2.260 0.000
9.840 2.260 0.000
-2.053 0.000 8.796
Pm Ho Er Bi
3 2 1 6
Direct
0.000 0.000 0.000 Pm
0.333 0.333 0.666 Pm
0.667 0.667 0.334 Pm
0.333 0.333 0.167 Ho
0.667 0.667 0.833 Ho
0.000 0.000 0.500 Er
0.165 0.165 0.588 Bi
0.168 0.168 0.079 Bi
0.498 0.498 0.255 Bi
0.502 0.502 0.745 Bi
0.832 0.832 0.921 Bi
0.835 0.835 0.412 Bi
```

Starting from a DFT-relaxed cell (PBE, Alexandria), the powder X-ray diffraction pattern of La5Pr2Er6 was simulated for CuKα.
Intensities are scaled so that the largest is 100.

Top 10 peaks for 5 to 70 degrees two-theta, sorted by position:
2θ 28.74, 3.107 Å, I 23.9; 2θ 30.73, 2.909 Å, I 100.0; 2θ 30.91, 2.893 Å, I 26.5; 2θ 31.68, 2.825 Å, I 57.6; 2θ 33.68, 2.661 Å, I 46.9; 2θ 34.35, 2.611 Å, I 24.3; 2θ 36.10, 2.488 Å, I 23.0; 2θ 50.31, 1.814 Å, I 16.0; 2θ 50.81, 1.797 Å, I 16.6; 2θ 60.12, 1.539 Å, I 29.7

Cell and atoms:
```
La5Pr2Er6
1.0
11.753 0.000 0.000
0.000 21.013 0.000
0.000 0.000 3.628
La Pr Er
10 4 12
Direct
0.000 0.000 0.000 La
0.060 0.291 0.000 La
0.196 0.568 0.000 La
0.304 0.068 0.000 La
0.440 0.791 0.000 La
0.500 0.500 0.000 La
0.560 0.209 0.000 La
0.696 0.932 0.000 La
0.804 0.432 0.000 La
0.940 0.709 0.000 La
0.197 0.732 0.500 Pr
0.303 0.232 0.500 Pr
0.697 0.768 0.500 Pr
0.803 0.268 0.500 Pr
0.058 0.143 0.500 Er
0.075 0.434 0.500 Er
0.192 0.878 0.000 Er
0.308 0.378 0.000 Er
0.425 0.934 0.500 Er
0.442 0.643 0.500 Er
0.558 0.357 0.500 Er
0.575 0.066 0.500 Er
0.692 0.622 0.000 Er
0.808 0.122 0.000 Er
0.925 0.566 0.500 Er
0.942 0.857 0.500 Er
```

Starting from a DFT-relaxed cell (PBE, Alexandria), the powder X-ray diffraction pattern of Ac3Cu2Bi2Pt4 was simulated for CuKα.
Intensities are scaled so that the largest is 100.

Top 10 peaks for 5 to 70 degrees two-theta, sorted by position:
2θ 23.33, 3.812 Å, I 16.9; 2θ 25.29, 3.522 Å, I 19.9; 2θ 28.27, 3.157 Å, I 17.0; 2θ 32.01, 2.796 Å, I 100.0; 2θ 39.76, 2.267 Å, I 71.7; 2θ 41.03, 2.200 Å, I 13.6; 2θ 51.93, 1.761 Å, I 26.3; 2θ 62.03, 1.496 Å, I 14.8; 2θ 62.94, 1.477 Å, I 10.3; 2θ 67.34, 1.391 Å, I 24.3

Cell and atoms:
```
Ac3Cu2Bi2Pt4
1.0
4.534 0.000 0.000
-2.267 3.926 0.000
0.000 0.000 15.934
Ac Cu Bi Pt
3 2 2 4
Direct
0.000 0.000 0.000 Ac
0.000 0.000 0.254 Ac
0.000 0.000 0.746 Ac
0.333 0.667 0.126 Cu
0.667 0.333 0.874 Cu
0.333 0.667 0.576 Bi
0.667 0.333 0.424 Bi
0.333 0.667 0.369 Pt
0.333 0.667 0.876 Pt
0.667 0.333 0.124 Pt
0.667 0.333 0.631 Pt
```

Starting from a DFT-relaxed cell (PBE, Alexandria), the powder X-ray diffraction pattern of La7Tb3Sm2 was simulated for CuKα.
Intensities are scaled so that the largest is 100.

Top 10 peaks for 5 to 70 degrees two-theta, sorted by position:
2θ 28.99, 3.080 Å, I 58.0; 2θ 29.88, 2.990 Å, I 81.9; 2θ 30.12, 2.967 Å, I 97.3; 2θ 30.52, 2.929 Å, I 100.0; 2θ 32.52, 2.753 Å, I 68.8; 2θ 34.07, 2.632 Å, I 91.1; 2θ 48.67, 1.871 Å, I 41.3; 2θ 58.94, 1.567 Å, I 28.9; 2θ 59.98, 1.542 Å, I 27.9; 2θ 60.14, 1.539 Å, I 28.1

Cell and atoms:
```
La7Tb3Sm2
1.0
6.572 0.000 0.000
0.000 3.599 0.000
-1.740 0.000 17.803
La Tb Sm
7 3 2
Direct
0.000 0.000 0.000 La
0.225 0.500 0.172 La
0.262 0.500 0.491 La
0.279 0.000 0.833 La
0.721 0.000 0.167 La
0.738 0.500 0.509 La
0.775 0.500 0.828 La
0.456 0.000 0.338 Tb
0.500 0.500 0.000 Tb
0.544 0.000 0.662 Tb
0.059 0.500 0.669 Sm
0.941 0.500 0.331 Sm
```

Starting from a DFT-relaxed cell (PBE, Alexandria), the powder X-ray diffraction pattern of LiThGa was simulated for CuKα.
Intensities are scaled so that the largest is 100.

Top 10 peaks for 5 to 70 degrees two-theta, sorted by position:
2θ 14.24, 6.221 Å, I 29.1; 2θ 19.43, 4.569 Å, I 50.9; 2θ 24.79, 3.592 Å, I 29.0; 2θ 28.70, 3.110 Å, I 48.8; 2θ 31.69, 2.824 Å, I 64.5; 2θ 34.90, 2.571 Å, I 100.0; 2θ 49.51, 1.841 Å, I 22.5; 2θ 53.08, 1.725 Å, I 24.1; 2θ 57.06, 1.614 Å, I 32.9; 2θ 68.11, 1.377 Å, I 23.2

Cell and atoms:
```
LiThGa
1.0
7.183 0.000 0.000
-3.592 6.221 0.000
0.000 0.000 4.569
Li Th Ga
3 3 3
Direct
0.000 0.771 0.000 Li
0.229 0.229 0.000 Li
0.771 0.000 0.000 Li
0.000 0.434 0.500 Th
0.434 0.000 0.500 Th
0.566 0.566 0.500 Th
0.000 0.000 0.500 Ga
0.333 0.667 0.000 Ga
0.667 0.333 0.000 Ga
```

Starting from a DFT-relaxed cell (PBE, Alexandria), the powder X-ray diffraction pattern of AcAs2Pd3 was simulated for CuKα.
Intensities are scaled so that the largest is 100.

Top 10 peaks for 5 to 70 degrees two-theta, sorted by position:
2θ 26.98, 3.305 Å, I 24.1; 2θ 31.73, 2.820 Å, I 40.9; 2θ 33.18, 2.700 Å, I 15.1; 2θ 33.89, 2.645 Å, I 100.0; 2θ 35.60, 2.522 Å, I 18.1; 2θ 36.22, 2.480 Å, I 15.1; 2θ 37.14, 2.421 Å, I 66.3; 2θ 41.94, 2.154 Å, I 44.6; 2θ 45.76, 1.983 Å, I 21.1; 2θ 63.80, 1.459 Å, I 15.6

Cell and atoms:
```
AcAs2Pd3
1.0
8.061 -2.154 0.000
8.061 2.154 0.000
-3.264 0.000 6.891
Ac As Pd
2 4 6
Direct
0.152 0.152 0.074 Ac
0.848 0.848 0.926 Ac
0.190 0.190 0.690 As
0.482 0.482 0.818 As
0.518 0.518 0.182 As
0.810 0.810 0.310 As
0.046 0.046 0.374 Pd
0.314 0.314 0.569 Pd
0.400 0.400 0.314 Pd
0.600 0.600 0.686 Pd
0.686 0.686 0.431 Pd
0.954 0.954 0.626 Pd
```

Starting from a DFT-relaxed cell (PBE, Alexandria), the powder X-ray diffraction pattern of Sr3Sm2Cd3 was simulated for CuKα.
Intensities are scaled so that the largest is 100.

Top 10 peaks for 5 to 70 degrees two-theta, sorted by position:
2θ 30.09, 2.970 Å, I 23.3; 2θ 31.12, 2.874 Å, I 27.0; 2θ 31.32, 2.856 Å, I 100.0; 2θ 43.84, 2.065 Å, I 16.4; 2θ 45.91, 1.976 Å, I 9.2; 2θ 54.22, 1.692 Å, I 12.8; 2θ 55.50, 1.656 Å, I 19.2; 2θ 55.88, 1.645 Å, I 7.9; 2θ 56.51, 1.628 Å, I 9.8; 2θ 65.36, 1.428 Å, I 9.8

Cell and atoms:
```
Sr3Sm2Cd3
1.0
3.953 0.000 0.000
0.000 5.747 0.000
0.000 0.000 23.757
Sr Sm Cd
6 4 6
Direct
0.000 0.000 0.000 Sr
0.000 0.500 0.121 Sr
0.000 0.500 0.879 Sr
0.500 0.000 0.379 Sr
0.500 0.000 0.621 Sr
0.500 0.500 0.500 Sr
0.000 0.000 0.233 Sm
0.000 0.000 0.767 Sm
0.500 0.500 0.267 Sm
0.500 0.500 0.733 Sm
0.000 0.000 0.500 Cd
0.000 0.500 0.374 Cd
0.000 0.500 0.626 Cd
0.500 0.000 0.126 Cd
0.500 0.000 0.874 Cd
0.500 0.500 0.000 Cd
```

Starting from a DFT-relaxed cell (PBE, Alexandria), the powder X-ray diffraction pattern of KScBP2HO9 was simulated for CuKα.
Intensities are scaled so that the largest is 100.

Top 10 peaks for 5 to 70 degrees two-theta, sorted by position:
2θ 14.78, 5.995 Å, I 42.3; 2θ 18.40, 4.821 Å, I 25.8; 2θ 21.55, 4.123 Å, I 75.1; 2θ 26.22, 3.399 Å, I 55.0; 2θ 27.04, 3.297 Å, I 57.3; 2θ 27.69, 3.221 Å, I 100.0; 2θ 29.73, 3.006 Å, I 53.4; 2θ 30.52, 2.929 Å, I 24.6; 2θ 30.65, 2.917 Å, I 38.9; 2θ 34.03, 2.635 Å, I 35.4

Cell and atoms:
```
KScBP2HO9
1.0
5.339 0.000 0.000
1.457 8.248 0.000
0.502 0.198 8.519
K Sc B P H O
2 2 2 4 2 18
Direct
0.219 0.122 0.327 K
0.781 0.878 0.673 K
0.215 0.202 0.807 Sc
0.785 0.798 0.193 Sc
0.388 0.565 0.723 B
0.612 0.435 0.277 B
0.291 0.805 0.941 P
0.310 0.701 0.421 P
0.690 0.299 0.579 P
0.709 0.195 0.059 P
0.101 0.527 0.877 H
0.899 0.473 0.123 H
0.049 0.737 0.000 O
0.065 0.797 0.359 O
0.215 0.462 0.800 O
0.216 0.955 0.833 O
0.246 0.669 0.600 O
0.377 0.532 0.342 O
0.452 0.839 0.074 O
0.467 0.205 0.600 O
0.468 0.672 0.838 O
0.532 0.328 0.162 O
0.533 0.795 0.400 O
0.548 0.161 0.926 O
0.623 0.468 0.658 O
0.754 0.331 0.400 O
0.784 0.045 0.167 O
0.785 0.538 0.200 O
0.935 0.203 0.641 O
0.951 0.263 0.000 O
```

Starting from a DFT-relaxed cell (PBE, Alexandria), the powder X-ray diffraction pattern of Ca2GaSi3Pt4 was simulated for CuKα.
Intensities are scaled so that the largest is 100.

Top 10 peaks for 5 to 70 degrees two-theta, sorted by position:
2θ 17.41, 5.093 Å, I 41.1; 2θ 22.87, 3.888 Å, I 46.0; 2θ 26.24, 3.396 Å, I 41.0; 2θ 27.50, 3.243 Å, I 48.8; 2θ 31.33, 2.855 Å, I 82.2; 2θ 33.93, 2.642 Å, I 30.8; 2θ 34.93, 2.568 Å, I 100.0; 2θ 43.01, 2.103 Å, I 72.9; 2θ 46.97, 1.934 Å, I 76.8; 2θ 51.08, 1.788 Å, I 28.1

Cell and atoms:
```
Ca2GaSi3Pt4
1.0
4.206 0.000 0.000
0.000 4.206 0.000
0.000 0.000 10.187
Ca Ga Si Pt
2 1 3 4
Direct
0.000 0.500 0.248 Ca
0.500 0.000 0.752 Ca
0.500 0.500 0.000 Ga
0.000 0.000 0.000 Si
0.000 0.500 0.630 Si
0.500 0.000 0.370 Si
0.000 0.000 0.500 Pt
0.000 0.500 0.864 Pt
0.500 0.000 0.136 Pt
0.500 0.500 0.500 Pt
```

Starting from a DFT-relaxed cell (PBE, Alexandria), the powder X-ray diffraction pattern of Pa5Fe was simulated for CuKα.
Intensities are scaled so that the largest is 100.

Top 10 peaks for 5 to 70 degrees two-theta, sorted by position:
2θ 29.87, 2.991 Å, I 26.9; 2θ 32.34, 2.768 Å, I 78.6; 2θ 33.79, 2.653 Å, I 33.1; 2θ 34.46, 2.602 Å, I 30.2; 2θ 35.33, 2.541 Å, I 100.0; 2θ 36.56, 2.458 Å, I 20.4; 2θ 37.92, 2.372 Å, I 81.4; 2θ 56.75, 1.622 Å, I 26.1; 2θ 57.81, 1.595 Å, I 25.2; 2θ 66.04, 1.415 Å, I 20.9

Cell and atoms:
```
Pa5Fe
1.0
10.638 0.000 0.000
0.000 3.292 0.000
-2.108 0.000 7.769
Pa Fe
10 2
Direct
0.000 0.000 0.000 Pa
0.133 0.500 0.363 Pa
0.191 0.500 0.807 Pa
0.309 0.000 0.193 Pa
0.367 0.000 0.637 Pa
0.500 0.500 0.000 Pa
0.633 0.000 0.363 Pa
0.691 0.000 0.807 Pa
0.809 0.500 0.193 Pa
0.867 0.500 0.637 Pa
0.000 0.000 0.500 Fe
0.500 0.500 0.500 Fe
```